The following is a theoretical powder XRD pattern of CsPdPbCl6. It was derived from a crystal structure in Alexandria, relaxed with GGA-PBE, using Cu Ka.
No peak broadening, texture or thermal motion is included.

Crystal structure
a b c (Å): 7.0588 7.0645 7.5211
angles (deg): 90.94 91.00 118.20
Space group P1 (No. 1)
One atom of each set of equivalent atoms:
Cs: 0.0000 0.0000 0.0000
Pd: 0.6705 0.3293 0.5006
Pb: 0.3255 0.6746 0.5000
Cl: 0.3972 0.3312 0.3173
Cl: 0.3986 0.0352 0.7143
Cl: 0.6578 0.0459 0.3187
Cl: 0.6671 0.6012 0.6843
Cl: 0.9551 0.3433 0.6825
Cl: 0.9634 0.6023 0.2872

Main lines, sorted by position (2θ = 10–80°):
11.8 deg, intensity 52, (0 0 1); 18.3 deg, intensity 50, (1 0 -1); 18.8 deg, intensity 100, (1 -1 1); 24.6 deg, intensity 16, (1 1 0); 25.2 deg, intensity 31, (2 -1 0); 28.1 deg, intensity 21, (2 -1 1); 33.8 deg, intensity 25, (1 1 -2); 34.6 deg, intensity 19, (1 -2 2); 35.2 deg, intensity 40, (-1 2 2); 43.7 deg, intensity 20, (3 0 0)

***

The following is a theoretical powder XRD pattern of CsPrPb2Cl8. It was derived from a crystal structure in Alexandria, relaxed with GGA-PBE, using Cu Ka.
No peak broadening, texture or thermal motion is included.

Crystal structure
a b c (Å): 6.7445 6.9732 9.2700
angles (deg): 89.76 89.76 88.98
Space group P-1 (No. 2)
One atom of each set of equivalent atoms:
Cs: 0.0000 0.0000 0.0000
Pr: 0.0000 0.0000 0.5000
Pb: 0.4997 0.4999 0.2479
Cl: 0.2437 0.8364 0.7082
Cl: 0.2444 0.8370 0.2914
Cl: 0.2519 0.3195 0.4991
Cl: 0.2752 0.3945 0.0021

Main lines, sorted by position (2θ = 10–80°):
18.1 deg, intensity 100, (1 1 0); 18.5 deg, intensity 88, (1 -1 0); 23.0 deg, intensity 61, (0 1 2); 23.3 deg, intensity 97, (1 0 -2); 25.6 deg, intensity 30, (0 2 0); 35.0 deg, intensity 63, (2 1 2); 35.3 deg, intensity 27, (2 1 -2); 35.5 deg, intensity 51, (-2 1 2); 38.9 deg, intensity 24, (0 0 4); 43.3 deg, intensity 24, (1 -1 4)

***

The following is a theoretical powder XRD pattern of Cs2RuPbCl6. It was derived from a crystal structure in Alexandria, relaxed with GGA-PBE, using Cu Ka.
No peak broadening, texture or thermal motion is included.

Crystal structure
a b c (Å): 10.5989 10.5989 10.5989
angles (deg): 90.00 90.00 90.00
Space group Fm-3m (No. 225)
One atom of each set of equivalent atoms:
Cs: 0.2500 0.2500 0.2500
Ru: 0.0000 0.0000 0.0000
Pb: 0.0000 0.0000 0.5000
Cl: 0.0000 0.0000 0.2299

Main lines, sorted by position (2θ = 10–80°):
16.7 deg, intensity 7, (2 0 0); 23.7 deg, intensity 100, (2 2 0); 27.9 deg, intensity 6, (3 1 1); 33.8 deg, intensity 49, (4 0 0); 41.8 deg, intensity 45, (4 2 2); 48.6 deg, intensity 33, (4 4 0); 54.8 deg, intensity 23, (6 2 0); 60.5 deg, intensity 11, (4 4 4); 66.0 deg, intensity 25, (6 4 2); 76.2 deg, intensity 12, (6 6 0)

***

The following is a theoretical powder XRD pattern of CsPbS2Cl. It was derived from a crystal structure in Alexandria, relaxed with GGA-PBE, using Cu Ka.
No peak broadening, texture or thermal motion is included.

Crystal structure
a b c (Å): 5.2754 5.2754 5.8154
angles (deg): 90.00 90.00 90.00
Space group P4/mmm (No. 123)
One atom of each set of equivalent atoms:
Cs: 0.0000 0.0000 0.0000
Pb: 0.5000 0.5000 0.5000
S: 0.0000 0.5000 0.5000
Cl: 0.5000 0.5000 0.0000

Main lines, sorted by position (2θ = 10–80°):
16.8 deg, intensity 14, (1 0 0); 22.8 deg, intensity 100, (1 0 1); 23.9 deg, intensity 46, (1 1 0); 30.7 deg, intensity 26, (0 0 2); 34.0 deg, intensity 40, (2 0 0); 39.3 deg, intensity 26, (1 1 2); 41.3 deg, intensity 44, (2 1 1); 46.5 deg, intensity 32, (2 0 2); 48.8 deg, intensity 14, (2 2 0); 58.8 deg, intensity 16, (2 2 2)

***

The following is a theoretical powder XRD pattern of CsPbSeCl6. It was derived from a crystal structure in Alexandria, relaxed with GGA-PBE, using Cu Ka.
No peak broadening, texture or thermal motion is included.

Crystal structure
a b c (Å): 7.5102 12.5155 7.6105
angles (deg): 90.00 93.18 90.00
Space group C2 (No. 5)
One atom of each set of equivalent atoms:
Cs: 0.0000 0.0000 0.0000
Pb: 0.0000 0.6753 0.5000
Se: 0.0000 0.3234 0.5000
Cl: 0.1297 0.4564 0.6892
Cl: 0.1574 0.1854 0.6801
Cl: 0.1741 0.8054 0.7359

Main lines, sorted by position (2θ = 10–80°):
11.6 deg, intensity 66, (0 0 1); 17.6 deg, intensity 88, (1 1 -1); 18.4 deg, intensity 100, (0 2 1); 18.5 deg, intensity 76, (1 1 1); 24.4 deg, intensity 48, (1 3 0); 27.4 deg, intensity 33, (1 3 1); 32.6 deg, intensity 41, (2 0 -2); 33.6 deg, intensity 37, (1 3 -2); 34.5 deg, intensity 79, (1 3 2); 42.1 deg, intensity 38, (3 3 0)

***

The following is a theoretical powder XRD pattern of CsTa6PbCl18. It was derived from a crystal structure in Alexandria, relaxed with GGA-PBE, using Cu Ka.
No peak broadening, texture or thermal motion is included.

Crystal structure
a b c (Å): 9.5278 9.5278 17.6338
angles (deg): 90.00 90.00 120.00
Space group P-31c (No. 163)
One atom of each set of equivalent atoms:
Cs: 0.3333 0.6667 0.2500
Ta: 0.0294 0.1911 0.5680
Pb: 0.3333 0.6667 0.7500
Cl: 0.0338 0.2234 0.3411
Cl: 0.0608 0.4275 0.6553
Cl: 0.1551 0.4123 0.0002

Main lines, sorted by position (2θ = 10–80°):
10.0 deg, intensity 23, (0 0 2); 10.7 deg, intensity 98, (1 0 0); 14.7 deg, intensity 100, (1 0 2); 21.2 deg, intensity 24, (1 1 2); 28.6 deg, intensity 21, (2 1 0); 34.1 deg, intensity 18, (3 0 2); 35.3 deg, intensity 49, (3 -1 4); 42.3 deg, intensity 22, (3 -1 6); 42.4 deg, intensity 22, (1 0 8); 43.2 deg, intensity 25, (4 -2 4)